[1]
PbAu15: calculated X-ray diffraction stick pattern (copper Kα), based on a cell relaxed with PBE.
Lines closer than 0.1° are merged.

Structure:
```
data_PbAu15
_symmetry_space_group_name_H-M 'P 1'
_symmetry_Int_Tables_number 1
_cell_length_a 8.1226
_cell_length_b 2.9668
_cell_length_c 36.6861
_cell_angle_alpha 90.00
_cell_angle_beta 90.01
_cell_angle_gamma 90.00
loop_
_symmetry_equiv_pos_as_xyz
'x,y,z'
loop_
_atom_site_label
_atom_site_type_symbol
_atom_site_fract_x
_atom_site_fract_y
_atom_site_fract_z
Pb1 Pb 0.1246 0.2500 0.1855
Pb2 Pb 0.8754 0.7500 0.8145
Au1 Au 0.1220 0.2500 0.6826
Au2 Au 0.1219 0.2500 0.7659
Au3 Au 0.1244 0.2500 0.6012
Au4 Au 0.1254 0.2500 0.2750
Au5 Au 0.1251 0.2500 0.3579
Au6 Au 0.1249 0.2500 0.4393
Au7 Au 0.1250 0.2500 0.5202
Au8 Au 0.3722 0.7500 0.2339
Au9 Au 0.3723 0.7500 0.3173
Au10 Au 0.3745 0.7500 0.3987
Au11 Au 0.3749 0.7500 0.4797
Au12 Au 0.3750 0.7500 0.5606
Au13 Au 0.3748 0.7500 0.6412
Au14 Au 0.3749 0.7500 0.7211
Au15 Au 0.3747 0.7500 0.8010
Au16 Au 0.6253 0.2500 0.1990
Au17 Au 0.6251 0.2500 0.2789
Au18 Au 0.6252 0.2500 0.3588
Au19 Au 0.6250 0.2500 0.4394
Au20 Au 0.6251 0.2500 0.5203
Au21 Au 0.6255 0.2500 0.6013
Au22 Au 0.6277 0.2500 0.6827
Au23 Au 0.6278 0.2500 0.7661
Au24 Au 0.8750 0.7500 0.4798
Au25 Au 0.8751 0.7500 0.5607
Au26 Au 0.8749 0.7500 0.6421
Au27 Au 0.8746 0.7500 0.7250
Au28 Au 0.8756 0.7500 0.3988
Au29 Au 0.8781 0.7500 0.2341
Au30 Au 0.8780 0.7500 0.3174
```

Largest 12 diffraction maxima, by angle, 2θ from 10° to 90°:
| Position (°2θ) | I/Imax |
| --- | --- |
| 36.8 | 923 |
| 37.5 | 1000 |
| 37.6 | 372 |
| 38.9 | 413 |
| 42.5 | 623 |
| 44.3 | 272 |
| 44.6 | 426 |
| 63.3 | 460 |
| 64.7 | 178 |
| 73.5 | 179 |
| 74.9 | 242 |
| 77.5 | 175 |

***

[2]
Pb5Au2: calculated X-ray diffraction stick pattern (copper Kα), based on a cell relaxed with PBE.
Lines closer than 0.1° are merged.

Structure:
```
data_Pb5Au2
_symmetry_space_group_name_H-M 'P 1'
_symmetry_Int_Tables_number 1
_cell_length_a 8.4559
_cell_length_b 8.4559
_cell_length_c 8.4559
_cell_angle_alpha 36.12
_cell_angle_beta 36.12
_cell_angle_gamma 36.12
loop_
_symmetry_equiv_pos_as_xyz
'x,y,z'
loop_
_atom_site_label
_atom_site_type_symbol
_atom_site_fract_x
_atom_site_fract_y
_atom_site_fract_z
Pb1 Pb 0.0000 0.0000 0.0000
Pb2 Pb 0.1439 0.1439 0.1439
Pb3 Pb 0.2878 0.2878 0.2878
Pb4 Pb 0.5524 0.5524 0.5524
Pb5 Pb 0.7362 0.7362 0.7362
Au1 Au 0.4222 0.4222 0.4222
Au2 Au 0.8658 0.8658 0.8658
```

Largest 12 diffraction maxima, by angle, 2θ from 10° to 90°:
| Position (°2θ) | I/Imax |
| --- | --- |
| 33.0 | 840 |
| 34.2 | 1000 |
| 36.2 | 93 |
| 48.3 | 297 |
| 49.1 | 90 |
| 58.2 | 77 |
| 60.5 | 306 |
| 61.3 | 193 |
| 69.5 | 110 |
| 72.0 | 151 |
| 81.6 | 136 |
| 89.8 | 66 |

***

[3]
Rb3PbAu5: calculated X-ray diffraction stick pattern (copper Kα), based on a cell relaxed with PBE.
Lines closer than 0.1° are merged.

Structure:
```
data_Rb3PbAu5
_symmetry_space_group_name_H-M 'P 1'
_symmetry_Int_Tables_number 1
_cell_length_a 11.3351
_cell_length_b 11.3351
_cell_length_c 11.3351
_cell_angle_alpha 150.12
_cell_angle_beta 55.15
_cell_angle_gamma 134.77
loop_
_symmetry_equiv_pos_as_xyz
'x,y,z'
loop_
_atom_site_label
_atom_site_type_symbol
_atom_site_fract_x
_atom_site_fract_y
_atom_site_fract_z
Rb1 Rb 0.1261 0.8761 0.2500
Rb2 Rb 0.2076 0.1223 0.0853
Rb3 Rb 0.4630 0.8777 0.5853
Rb4 Rb 0.5370 0.1223 0.4147
Rb5 Rb 0.7924 0.8777 0.9147
Rb6 Rb 0.8739 0.1239 0.7500
Pb1 Pb 0.4145 0.6645 0.7500
Pb2 Pb 0.5855 0.3355 0.2500
Au1 Au 0.0000 0.5000 0.5000
Au2 Au 0.1051 0.4612 0.6438
Au3 Au 0.1823 0.0000 0.6823
Au4 Au 0.1823 0.5000 0.1823
Au5 Au 0.3174 0.4612 0.8562
Au6 Au 0.5000 0.5000 0.0000
Au7 Au 0.6826 0.5388 0.1438
Au8 Au 0.8177 0.0000 0.3177
Au9 Au 0.8177 0.5000 0.8177
Au10 Au 0.8949 0.5388 0.3562
```

Largest 12 diffraction maxima, by angle, 2θ from 10° to 90°:
| Position (°2θ) | I/Imax |
| --- | --- |
| 16.7 | 828 |
| 18.3 | 1000 |
| 28.8 | 752 |
| 32.5 | 578 |
| 33.8 | 665 |
| 37.0 | 530 |
| 38.2 | 545 |
| 39.5 | 439 |
| 40.4 | 307 |
| 41.5 | 306 |
| 47.8 | 472 |
| 59.7 | 424 |

***

[4]
YTe2PbAuS: calculated X-ray diffraction stick pattern (copper Kα), based on a cell relaxed with PBE.
Lines closer than 0.1° are merged.

Structure:
```
data_YTe2PbAuS
_symmetry_space_group_name_H-M 'P 1'
_symmetry_Int_Tables_number 1
_cell_length_a 7.6785
_cell_length_b 7.6785
_cell_length_c 10.3713
_cell_angle_alpha 90.00
_cell_angle_beta 90.00
_cell_angle_gamma 147.55
loop_
_symmetry_equiv_pos_as_xyz
'x,y,z'
loop_
_atom_site_label
_atom_site_type_symbol
_atom_site_fract_x
_atom_site_fract_y
_atom_site_fract_z
Y1 Y 0.0000 0.0000 0.0000
Y2 Y 0.0000 0.0000 0.5000
Te1 Te 0.3497 0.6503 0.5561
Te2 Te 0.3497 0.6503 0.9439
Te3 Te 0.6503 0.3497 0.0561
Te4 Te 0.6503 0.3497 0.4439
Pb1 Pb 0.2675 0.7325 0.2500
Pb2 Pb 0.7325 0.2675 0.7500
Au1 Au 0.4800 0.5200 0.7500
Au2 Au 0.5200 0.4800 0.2500
S1 S 0.0772 0.9228 0.7500
S2 S 0.9228 0.0772 0.2500
```

Largest 12 diffraction maxima, by angle, 2θ from 10° to 90°:
| Position (°2θ) | I/Imax |
| --- | --- |
| 21.6 | 542 |
| 27.6 | 534 |
| 28.9 | 980 |
| 29.7 | 711 |
| 32.6 | 1000 |
| 33.8 | 700 |
| 34.6 | 464 |
| 38.1 | 311 |
| 41.0 | 526 |
| 42.1 | 503 |
| 42.6 | 270 |
| 52.4 | 553 |

***

[5]
TmPbAuS3: calculated X-ray diffraction stick pattern (copper Kα), based on a cell relaxed with PBE.
Lines closer than 0.1° are merged.

Structure:
```
data_TmPbAuS3
_symmetry_space_group_name_H-M 'P 1'
_symmetry_Int_Tables_number 1
_cell_length_a 10.2554
_cell_length_b 4.0456
_cell_length_c 14.6260
_cell_angle_alpha 90.00
_cell_angle_beta 90.00
_cell_angle_gamma 90.00
loop_
_symmetry_equiv_pos_as_xyz
'x,y,z'
loop_
_atom_site_label
_atom_site_type_symbol
_atom_site_fract_x
_atom_site_fract_y
_atom_site_fract_z
Tm1 Tm 0.1672 0.2500 0.0248
Tm2 Tm 0.3328 0.7500 0.5248
Tm3 Tm 0.6672 0.2500 0.4752
Tm4 Tm 0.8328 0.7500 0.9752
Pb1 Pb 0.0171 0.7500 0.2993
Pb2 Pb 0.4829 0.2500 0.7993
Pb3 Pb 0.5171 0.7500 0.2007
Pb4 Pb 0.9829 0.2500 0.7007
Au1 Au 0.2479 0.7500 0.8269
Au2 Au 0.2521 0.2500 0.3269
Au3 Au 0.7479 0.7500 0.6731
Au4 Au 0.7521 0.2500 0.1731
S1 S 0.0223 0.7500 0.1036
S2 S 0.1693 0.7500 0.6785
S3 S 0.1720 0.2500 0.4760
S4 S 0.3280 0.7500 0.9760
S5 S 0.3307 0.2500 0.1785
S6 S 0.4777 0.2500 0.6036
S7 S 0.5223 0.7500 0.3964
S8 S 0.6693 0.7500 0.8215
S9 S 0.6720 0.2500 0.0240
S10 S 0.8280 0.7500 0.5240
S11 S 0.8307 0.2500 0.3215
S12 S 0.9777 0.2500 0.8964
```

Largest 12 diffraction maxima, by angle, 2θ from 10° to 90°:
| Position (°2θ) | I/Imax |
| --- | --- |
| 14.9 | 147 |
| 20.2 | 315 |
| 25.9 | 212 |
| 28.8 | 1000 |
| 30.0 | 316 |
| 30.7 | 218 |
| 37.2 | 157 |
| 39.1 | 139 |
| 42.5 | 174 |
| 44.3 | 153 |
| 44.8 | 182 |
| 52.4 | 219 |

***

[6]
ScTePbAuSe2: calculated X-ray diffraction stick pattern (copper Kα), based on a cell relaxed with PBE.
Lines closer than 0.1° are merged.

Structure:
```
data_ScTePbAuSe2
_symmetry_space_group_name_H-M 'P 1'
_symmetry_Int_Tables_number 1
_cell_length_a 7.3731
_cell_length_b 7.3731
_cell_length_c 10.8349
_cell_angle_alpha 90.00
_cell_angle_beta 90.00
_cell_angle_gamma 148.30
loop_
_symmetry_equiv_pos_as_xyz
'x,y,z'
loop_
_atom_site_label
_atom_site_type_symbol
_atom_site_fract_x
_atom_site_fract_y
_atom_site_fract_z
Sc1 Sc 0.0000 0.0000 0.0000
Sc2 Sc 0.0000 0.0000 0.5000
Te1 Te 0.0981 0.9019 0.7500
Te2 Te 0.9019 0.0981 0.2500
Pb1 Pb 0.2102 0.7898 0.2500
Pb2 Pb 0.7898 0.2102 0.7500
Au1 Au 0.4612 0.5388 0.7500
Au2 Au 0.5388 0.4612 0.2500
Se1 Se 0.3683 0.6317 0.5421
Se2 Se 0.3683 0.6317 0.9579
Se3 Se 0.6317 0.3683 0.0421
Se4 Se 0.6317 0.3683 0.4579
```

Largest 12 diffraction maxima, by angle, 2θ from 10° to 90°:
| Position (°2θ) | I/Imax |
| --- | --- |
| 14.9 | 183 |
| 16.4 | 666 |
| 30.3 | 1000 |
| 33.1 | 462 |
| 33.6 | 947 |
| 38.5 | 321 |
| 39.0 | 256 |
| 45.0 | 248 |
| 45.9 | 295 |
| 51.7 | 307 |
| 57.0 | 205 |
| 66.2 | 199 |

***

[7]
TlPbAu3Se4: calculated X-ray diffraction stick pattern (copper Kα), based on a cell relaxed with PBE.
Lines closer than 0.1° are merged.

Structure:
```
data_TlPbAu3Se4
_symmetry_space_group_name_H-M 'P 1'
_symmetry_Int_Tables_number 1
_cell_length_a 6.3747
_cell_length_b 6.3747
_cell_length_c 6.3747
_cell_angle_alpha 90.00
_cell_angle_beta 90.00
_cell_angle_gamma 90.00
loop_
_symmetry_equiv_pos_as_xyz
'x,y,z'
loop_
_atom_site_label
_atom_site_type_symbol
_atom_site_fract_x
_atom_site_fract_y
_atom_site_fract_z
Tl1 Tl 0.0000 0.0000 0.0000
Pb1 Pb 0.5000 0.5000 0.5000
Au1 Au 0.0000 0.5000 0.5000
Au2 Au 0.5000 0.0000 0.5000
Au3 Au 0.5000 0.5000 0.0000
Se1 Se 0.2435 0.2435 0.2435
Se2 Se 0.2435 0.7565 0.7565
Se3 Se 0.7565 0.2435 0.7565
Se4 Se 0.7565 0.7565 0.2435
```

Largest 12 diffraction maxima, by angle, 2θ from 10° to 90°:
| Position (°2θ) | I/Imax |
| --- | --- |
| 13.9 | 129 |
| 19.7 | 146 |
| 24.2 | 637 |
| 28.0 | 338 |
| 31.4 | 104 |
| 40.0 | 1000 |
| 47.3 | 320 |
| 57.9 | 170 |
| 63.6 | 132 |
| 65.5 | 135 |
| 72.7 | 350 |
| 86.3 | 116 |

***

[8]
SrPbAu2: calculated X-ray diffraction stick pattern (copper Kα), based on a cell relaxed with PBE.
Lines closer than 0.1° are merged.

Structure:
```
data_SrPbAu2
_symmetry_space_group_name_H-M 'P 1'
_symmetry_Int_Tables_number 1
_cell_length_a 7.3053
_cell_length_b 7.3053
_cell_length_c 7.3053
_cell_angle_alpha 90.00
_cell_angle_beta 90.00
_cell_angle_gamma 90.00
loop_
_symmetry_equiv_pos_as_xyz
'x,y,z'
loop_
_atom_site_label
_atom_site_type_symbol
_atom_site_fract_x
_atom_site_fract_y
_atom_site_fract_z
Sr1 Sr 0.0000 0.0000 0.0000
Sr2 Sr 0.0000 0.5000 0.5000
Sr3 Sr 0.5000 0.0000 0.5000
Sr4 Sr 0.5000 0.5000 0.0000
Pb1 Pb 0.2500 0.2500 0.2500
Pb2 Pb 0.2500 0.7500 0.7500
Pb3 Pb 0.7500 0.2500 0.7500
Pb4 Pb 0.7500 0.7500 0.2500
Au1 Au 0.0000 0.0000 0.5000
Au2 Au 0.0000 0.5000 0.0000
Au3 Au 0.2500 0.2500 0.7500
Au4 Au 0.2500 0.7500 0.2500
Au5 Au 0.5000 0.0000 0.0000
Au6 Au 0.5000 0.5000 0.5000
Au7 Au 0.7500 0.2500 0.2500
Au8 Au 0.7500 0.7500 0.7500
```

Largest 12 diffraction maxima, by angle, 2θ from 10° to 90°:
| Position (°2θ) | I/Imax |
| --- | --- |
| 21.1 | 56 |
| 24.4 | 34 |
| 34.7 | 1000 |
| 41.0 | 33 |
| 49.9 | 181 |
| 54.8 | 15 |
| 56.3 | 15 |
| 62.3 | 377 |
| 66.5 | 11 |
| 73.3 | 119 |
| 77.3 | 11 |
| 83.7 | 172 |

***

[9]
TlTe4PbAu3: calculated X-ray diffraction stick pattern (copper Kα), based on a cell relaxed with PBE.
Lines closer than 0.1° are merged.

Structure:
```
data_TlTe4PbAu3
_symmetry_space_group_name_H-M 'P 1'
_symmetry_Int_Tables_number 1
_cell_length_a 6.7114
_cell_length_b 6.7114
_cell_length_c 6.7114
_cell_angle_alpha 90.00
_cell_angle_beta 90.00
_cell_angle_gamma 90.00
loop_
_symmetry_equiv_pos_as_xyz
'x,y,z'
loop_
_atom_site_label
_atom_site_type_symbol
_atom_site_fract_x
_atom_site_fract_y
_atom_site_fract_z
Tl1 Tl 0.0000 0.0000 0.0000
Te1 Te 0.2463 0.2463 0.2463
Te2 Te 0.2463 0.7537 0.7537
Te3 Te 0.7537 0.2463 0.7537
Te4 Te 0.7537 0.7537 0.2463
Pb1 Pb 0.5000 0.5000 0.5000
Au1 Au 0.0000 0.5000 0.5000
Au2 Au 0.5000 0.0000 0.5000
Au3 Au 0.5000 0.5000 0.0000
```

Largest 12 diffraction maxima, by angle, 2θ from 10° to 90°:
| Position (°2θ) | I/Imax |
| --- | --- |
| 13.2 | 98 |
| 18.7 | 110 |
| 23.0 | 641 |
| 26.6 | 139 |
| 37.9 | 1000 |
| 44.8 | 332 |
| 54.7 | 174 |
| 60.1 | 138 |
| 68.5 | 357 |
| 73.3 | 103 |
| 81.1 | 114 |
| 85.6 | 105 |

***

[10]
TlPb5Au3: calculated X-ray diffraction stick pattern (copper Kα), based on a cell relaxed with PBE.
Lines closer than 0.1° are merged.

Structure:
```
data_TlPb5Au3
_symmetry_space_group_name_H-M 'P 1'
_symmetry_Int_Tables_number 1
_cell_length_a 5.8983
_cell_length_b 5.8983
_cell_length_c 8.5093
_cell_angle_alpha 90.00
_cell_angle_beta 90.00
_cell_angle_gamma 120.00
loop_
_symmetry_equiv_pos_as_xyz
'x,y,z'
loop_
_atom_site_label
_atom_site_type_symbol
_atom_site_fract_x
_atom_site_fract_y
_atom_site_fract_z
Tl1 Tl 0.0000 0.0000 0.0000
Pb1 Pb 0.0000 0.0000 0.5000
Pb2 Pb 0.3333 0.6667 0.1986
Pb3 Pb 0.3333 0.6667 0.8014
Pb4 Pb 0.6667 0.3333 0.1986
Pb5 Pb 0.6667 0.3333 0.8014
Au1 Au 0.0000 0.5000 0.5000
Au2 Au 0.5000 0.0000 0.5000
Au3 Au 0.5000 0.5000 0.5000
```

Largest 12 diffraction maxima, by angle, 2θ from 10° to 90°:
| Position (°2θ) | I/Imax |
| --- | --- |
| 10.4 | 273 |
| 27.3 | 474 |
| 30.3 | 674 |
| 31.5 | 315 |
| 32.1 | 227 |
| 36.2 | 227 |
| 36.7 | 416 |
| 41.2 | 1000 |
| 52.0 | 167 |
| 56.3 | 182 |
| 63.1 | 444 |
| 72.2 | 185 |

***

[11]
Zr3Pb4Au4: calculated X-ray diffraction stick pattern (copper Kα), based on a cell relaxed with PBE.
Lines closer than 0.1° are merged.

Structure:
```
data_Zr3Pb4Au4
_symmetry_space_group_name_H-M 'P 1'
_symmetry_Int_Tables_number 1
_cell_length_a 7.0712
_cell_length_b 4.5593
_cell_length_c 8.0901
_cell_angle_alpha 90.00
_cell_angle_beta 91.58
_cell_angle_gamma 90.00
loop_
_symmetry_equiv_pos_as_xyz
'x,y,z'
loop_
_atom_site_label
_atom_site_type_symbol
_atom_site_fract_x
_atom_site_fract_y
_atom_site_fract_z
Zr1 Zr 0.0000 0.0000 0.0000
Zr2 Zr 0.0205 0.5000 0.4282
Zr3 Zr 0.5394 0.0000 0.9767
Pb1 Pb 0.3065 0.5000 0.1131
Pb2 Pb 0.3255 0.0000 0.6446
Pb3 Pb 0.6847 0.0000 0.3375
Pb4 Pb 0.6848 0.5000 0.7582
Au1 Au 0.1203 0.5000 0.7896
Au2 Au 0.2290 0.0000 0.3067
Au3 Au 0.7824 0.5000 0.1278
Au4 Au 0.8944 0.0000 0.6455
```

Largest 12 diffraction maxima, by angle, 2θ from 10° to 90°:
| Position (°2θ) | I/Imax |
| --- | --- |
| 22.0 | 136 |
| 22.4 | 250 |
| 25.2 | 131 |
| 31.9 | 119 |
| 33.7 | 1000 |
| 34.2 | 422 |
| 38.8 | 716 |
| 39.6 | 647 |
| 51.4 | 125 |
| 53.2 | 229 |
| 68.0 | 134 |
| 71.2 | 143 |

***

[12]
Zr2Pb3Au2: calculated X-ray diffraction stick pattern (copper Kα), based on a cell relaxed with PBE.
Lines closer than 0.1° are merged.

Structure:
```
data_Zr2Pb3Au2
_symmetry_space_group_name_H-M 'P 1'
_symmetry_Int_Tables_number 1
_cell_length_a 8.9637
_cell_length_b 8.9637
_cell_length_c 8.9637
_cell_angle_alpha 31.35
_cell_angle_beta 31.35
_cell_angle_gamma 31.35
loop_
_symmetry_equiv_pos_as_xyz
'x,y,z'
loop_
_atom_site_label
_atom_site_type_symbol
_atom_site_fract_x
_atom_site_fract_y
_atom_site_fract_z
Zr1 Zr 0.0000 0.0000 0.0000
Zr2 Zr 0.4967 0.4967 0.4967
Pb1 Pb 0.3840 0.3840 0.3840
Pb2 Pb 0.6254 0.6254 0.6254
Pb3 Pb 0.8670 0.8670 0.8670
Au1 Au 0.2325 0.2325 0.2325
Au2 Au 0.7531 0.7531 0.7531
```

Largest 12 diffraction maxima, by angle, 2θ from 10° to 90°:
| Position (°2θ) | I/Imax |
| --- | --- |
| 21.5 | 119 |
| 22.3 | 170 |
| 27.5 | 239 |
| 35.3 | 950 |
| 37.1 | 1000 |
| 51.3 | 101 |
| 52.2 | 316 |
| 62.2 | 105 |
| 65.8 | 318 |
| 66.9 | 182 |
| 79.1 | 116 |
| 89.7 | 149 |

***

[13]
Zr3Pb4Au4: calculated X-ray diffraction stick pattern (copper Kα), based on a cell relaxed with PBE.
Lines closer than 0.1° are merged.

Structure:
```
data_Zr3Pb4Au4
_symmetry_space_group_name_H-M 'P 1'
_symmetry_Int_Tables_number 1
_cell_length_a 8.0531
_cell_length_b 8.0531
_cell_length_c 8.0531
_cell_angle_alpha 131.78
_cell_angle_beta 131.78
_cell_angle_gamma 70.57
loop_
_symmetry_equiv_pos_as_xyz
'x,y,z'
loop_
_atom_site_label
_atom_site_type_symbol
_atom_site_fract_x
_atom_site_fract_y
_atom_site_fract_z
Zr1 Zr 0.0000 0.0000 0.0000
Zr2 Zr 0.2500 0.7500 0.5000
Zr3 Zr 0.7500 0.2500 0.5000
Pb1 Pb 0.0000 0.5000 0.5000
Pb2 Pb 0.2723 0.2723 0.0000
Pb3 Pb 0.5000 0.0000 0.5000
Pb4 Pb 0.7277 0.7277 0.0000
Au1 Au 0.1046 0.6380 0.0000
Au2 Au 0.3620 0.3620 0.4666
Au3 Au 0.6380 0.1046 0.0000
Au4 Au 0.8954 0.8954 0.5334
```

Largest 12 diffraction maxima, by angle, 2θ from 10° to 90°:
| Position (°2θ) | I/Imax |
| --- | --- |
| 23.4 | 629 |
| 27.1 | 35 |
| 36.8 | 64 |
| 38.7 | 1000 |
| 45.8 | 309 |
| 55.9 | 163 |
| 61.4 | 120 |
| 70.1 | 309 |
| 72.2 | 43 |
| 75.0 | 85 |
| 83.1 | 94 |
| 87.8 | 82 |